# La4PrEr4
Calculated X-ray powder pattern, copper Kα. Input: a crystal structure in Alexandria, relaxed with GGA-PBE.
Intensities are scaled so that the largest is 100.

Atomic structure:
Lattice parameters (Å, degrees): 8.128 8.128 8.128 95.79 95.79 142.97
Atoms (fractional coordinates):
1 La 0.168 0.168 0.336
2 La 0.168 0.832 0.000
3 La 0.832 0.168 0.000
4 La 0.832 0.832 0.664
5 Pr 0.500 0.500 0.000
6 Er 0.162 0.500 0.662
7 Er 0.500 0.162 0.662
8 Er 0.500 0.838 0.338
9 Er 0.838 0.500 0.338

The 8 most intense peaks (2θ from 10° to 80°), in order of rising 2θ:
| Position (°2θ) | intensity |
| --- | --- |
| 30.1 | 100 |
| 34.8 | 17 |
| 34.9 | 34 |
| 50.1 | 24 |
| 50.2 | 12 |
| 59.4 | 15 |
| 59.7 | 28 |
| 62.5 | 12 |

# LiPt3Cl
Calculated X-ray powder pattern, copper Kα. Input: a crystal structure in Alexandria, relaxed with GGA-PBE.
Intensities are scaled so that the largest is 100.

Atomic structure:
Lattice parameters (Å, degrees): 4.573 4.573 4.573 90.00 90.00 90.00
Atoms (fractional coordinates):
1 Li 0.000 0.000 0.000
2 Pt 0.000 0.500 0.500
3 Pt 0.500 0.000 0.500
4 Pt 0.500 0.500 0.000
5 Cl 0.500 0.500 0.500

The 8 most intense peaks (2θ from 10° to 80°), in order of rising 2θ:
| Position (°2θ) | intensity |
| --- | --- |
| 19.4 | 51 |
| 27.6 | 19 |
| 34.0 | 100 |
| 39.4 | 64 |
| 44.3 | 24 |
| 57.0 | 44 |
| 68.0 | 42 |
| 71.5 | 15 |